Pa3AlRu: calculated powder diffractogram (CuKα), based on DFT lattice parameters and positions (GGA-PBE).

Structure:
```
data_Pa3AlRu
_space_group_name_H-M_alt 'P 1 2/c 1'
_space_group_IT_number 13
_space_group_name_Hall '-P 2yc'
_cell_length_a 6.8045
_cell_length_b 6.2501
_cell_length_c 10.4040
_cell_angle_alpha 90.00
_cell_angle_beta 99.00
_cell_angle_gamma 90.00
loop_
_atom_site_label
_atom_site_type_symbol
_atom_site_fract_x
_atom_site_fract_y
_atom_site_fract_z
_atom_site_occupancy
Pa1 Pa 0.0473 0.2384 0.0048 1
Pa2 Pa 0.2212 0.4838 0.7887 1
Pa3 Pa 0.3804 0.2223 0.5715 1
Al1 Al 0.2145 0.0216 0.2872 1
Ru1 Ru 0.4202 0.2610 0.1227 1
```

The 8 most intense peaks (2θ from 5° to 70°), sorted by position:
- 2θ 22.40, I 37, (0 1 2)
- 2θ 32.62, I 33, (2 1 1)
- 2θ 33.56, I 100, (0 2 2)
- 2θ 34.09, I 72, (2 0 2)
- 2θ 35.14, I 50, (1 2 -2)
- 2θ 35.40, I 70, (1 0 -4)
- 2θ 39.38, I 50, (2 2 0)
- 2θ 41.37, I 42, (3 0 -2)